Theoretical X-ray powder pattern
Compound: InGaS3
Radiation: Cu Ka
Structure: the PBE geometry in Alexandria
No peak broadening, texture or thermal motion is included.

Crystal structure
```
InGaS3
1.0
6.845 0.000 0.000
-3.422 5.928 0.000
0.000 0.000 18.250
In Ga S
6 6 18
Cartesian
-1.130 1.963 0.000
1.135 1.960 15.208
-1.158 5.925 12.167
4.580 0.003 3.042
2.287 3.968 6.083
4.552 3.965 9.125
-1.024 1.981 11.655
-1.195 5.824 5.572
1.204 1.877 8.613
2.219 4.051 17.738
4.617 0.104 14.697
4.447 3.947 2.530
-1.003 1.742 9.328
4.425 4.186 0.203
-2.047 3.901 6.430
-0.986 2.155 2.701
-1.412 5.925 3.245
1.007 1.740 6.287
-1.063 5.704 14.868
1.068 2.204 12.513
1.374 1.932 17.909
2.443 0.177 9.472
0.980 5.751 0.347
2.049 3.996 8.784
2.355 3.724 3.388
4.485 0.224 5.743
2.415 4.188 15.412
4.835 0.003 12.370
4.409 3.773 11.826
5.470 2.027 15.555
```

Peak list (10 most intense, 2θ from 5° to 70°, most intense first)
26.04°, I = 100
17.84°, I = 93
45.93°, I = 73
29.36°, I = 69
15.72°, I = 65
55.45°, I = 56
29.96°, I = 49
31.74°, I = 45
39.64°, I = 42
42.46°, I = 32